Record 1
This entry pairs a crystal structure of Tc2MoPt with its theoretical powder diffraction line list. Radiation: CuKα. Structure: a crystal structure in Alexandria, relaxed with PBE.
Intensities are scaled so that the largest is 100.

a b c (Å): 4.812 2.747 4.841
angles (deg): 90.00 110.03 90.00
Positions (direct):
1 Tc 0.000 0.000 0.000
2 Tc 0.000 0.500 0.500
3 Mo 0.500 0.000 0.500
4 Pt 0.500 0.500 0.000

The 6 most intense peaks (2θ from 15° to 90°), low angle first:
d/Å, 2θ (°), I/Imax
2.274, 39.64, 34
2.258, 39.93, 100
1.977, 45.90, 22
1.950, 46.59, 43
1.391, 67.30, 14
1.385, 67.66, 21

***

Record 2
This entry pairs a crystal structure of Hf2VSe6 with its theoretical powder diffraction line list. Radiation: CuKα. Structure: a crystal structure in Alexandria, relaxed with PBE.
Intensities are scaled so that the largest is 100.

a b c (Å): 8.919 8.919 8.153
angles (deg): 111.33 111.33 23.62
Positions (direct):
1 Hf 0.163 0.163 0.327
2 Hf 0.837 0.837 0.673
3 V 0.500 0.500 0.000
4 Se 0.000 0.000 0.221
5 Se 0.000 0.000 0.779
6 Se 0.329 0.329 0.427
7 Se 0.343 0.343 0.914
8 Se 0.657 0.657 0.086
9 Se 0.671 0.671 0.573

The 6 most intense peaks (2θ from 15° to 90°), low angle first:
d/Å, 2θ (°), I/Imax
3.124, 28.57, 41
2.706, 33.10, 100
2.702, 33.16, 48
2.171, 41.59, 33
2.015, 45.00, 58
1.824, 49.99, 45

***

Record 3
This entry pairs a crystal structure of Cs2Hg5Sb3 with its theoretical powder diffraction line list. Radiation: CuKα. Structure: a crystal structure in Alexandria, relaxed with PBE.
Intensities are scaled so that the largest is 100.

a b c (Å): 10.290 10.290 7.708
angles (deg): 107.18 107.18 68.56
Positions (direct):
1 Cs 0.112 0.622 0.893
2 Cs 0.378 0.888 0.607
3 Cs 0.622 0.112 0.393
4 Cs 0.888 0.378 0.107
5 Hg 0.044 0.764 0.422
6 Hg 0.215 0.288 0.551
7 Hg 0.236 0.956 0.078
8 Hg 0.288 0.215 0.051
9 Hg 0.486 0.514 0.750
10 Hg 0.514 0.486 0.250
11 Hg 0.712 0.785 0.949
12 Hg 0.764 0.044 0.922
13 Hg 0.785 0.712 0.449
14 Hg 0.956 0.236 0.578
15 Sb 0.001 0.999 0.250
16 Sb 0.268 0.503 0.399
17 Sb 0.497 0.732 0.101
18 Sb 0.503 0.268 0.899
19 Sb 0.732 0.497 0.601
20 Sb 0.999 0.001 0.750

The 6 most intense peaks (2θ from 15° to 90°), low angle first:
d/Å, 2θ (°), I/Imax
3.276, 27.22, 100
3.219, 27.71, 68
3.197, 27.90, 83
2.910, 30.72, 72
2.627, 34.13, 64
2.312, 38.95, 35

***

Which formula does entry 2 have? Hf2VSe6